1.
Starting from a structure optimized by DFT (GGA-PBE), the powder X-ray diffraction pattern of Cu17Ag23 was calculated for CuKα.
Lines closer than 0.1° are merged.

Cell and atoms:
```
data_Cu17Ag23
_cell_length_a 4.847
_cell_length_b 7.347
_cell_length_c 17.433
_cell_angle_alpha 96.52
_cell_angle_beta 95.12
_cell_angle_gamma 90.65
_symmetry_space_group_name_H-M 'P 1'
_symmetry_Int_Tables_number 1
loop_
_symmetry_equiv_pos_as_xyz
'x,y,z'
loop_
_atom_site_label
_atom_site_fract_x
_atom_site_fract_y
_atom_site_fract_z
_atom_site_occupancy
Cu1 0.000 0.000 0.000 1
Cu2 0.010 0.064 0.430 1
Cu3 0.031 0.945 0.573 1
Cu4 0.139 0.753 0.872 1
Cu5 0.176 0.657 0.018 1
Cu6 0.197 0.599 0.597 1
Cu7 0.332 0.354 0.478 1
Cu8 0.464 0.102 0.354 1
Cu9 0.534 0.877 0.643 1
Cu10 0.590 0.858 0.230 1
Cu11 0.598 0.795 0.793 1
Cu12 0.683 0.646 0.532 1
Cu13 0.718 0.553 0.665 1
Cu14 0.832 0.341 0.976 1
Cu15 0.862 0.316 0.549 1
Cu16 0.872 0.245 0.123 1
Cu17 0.918 0.146 0.281 1
Ag1 0.040 0.908 0.150 1
Ag2 0.054 0.841 0.717 1
Ag3 0.118 0.819 0.303 1
Ag4 0.163 0.704 0.458 1
Ag5 0.238 0.559 0.174 1
Ag6 0.259 0.506 0.744 1
Ag7 0.277 0.442 0.330 1
Ag8 0.302 0.408 0.901 1
Ag9 0.334 0.298 0.050 1
Ag10 0.369 0.254 0.617 1
Ag11 0.406 0.192 0.206 1
Ag12 0.423 0.136 0.768 1
Ag13 0.475 0.046 0.924 1
Ag14 0.520 0.944 0.074 1
Ag15 0.534 0.009 0.501 1
Ag16 0.645 0.758 0.378 1
Ag17 0.676 0.702 0.944 1
Ag18 0.713 0.590 0.094 1
Ag19 0.763 0.497 0.250 1
Ag20 0.784 0.455 0.819 1
Ag21 0.801 0.390 0.407 1
Ag22 0.888 0.195 0.689 1
Ag23 0.947 0.090 0.850 1
```

The 12 most intense peaks (5 to 70 degrees two-theta), by intensity:
| d_spacing | I/Imax | index |
| --- | --- | --- |
| 2.279 | 100.0 | 2 1 0 |
| 2.274 | 33.8 | 0 3 2 |
| 1.985 | 22.1 | -2 2 2 |
| 1.977 | 20.4 | 1 1 7 |
| 1.956 | 20.3 | 1 3 -5 |
| 1.401 | 12.6 | 3 -1 5 |
| 1.393 | 12.0 | 1 -5 3 |
| 1.394 | 6.2 | 3 1 -7 |
| 1.388 | 5.8 | 2 4 2 |
| 2.575 | 1.8 | 1 2 -4 |
| 2.192 | 1.0 | 1 1 6 |
| 2.741 | 1.0 | 1 2 -3 |

2.
Starting from a structure optimized by DFT (GGA-PBE), the powder X-ray diffraction pattern of Cu3Ag7 was calculated for CuKα.
Lines closer than 0.1° are merged.

Cell and atoms:
```
data_Cu3Ag7
_cell_length_a 2.882
_cell_length_b 3.935
_cell_length_c 14.363
_cell_angle_alpha 90.00
_cell_angle_beta 90.00
_cell_angle_gamma 90.00
_symmetry_space_group_name_H-M 'P m m 2'
_symmetry_Int_Tables_number 25
loop_
_symmetry_equiv_pos_as_xyz
'x,y,z'
'-x,-y,z'
'-x,y,z'
'x,-y,z'
loop_
_atom_site_label
_atom_site_fract_x
_atom_site_fract_y
_atom_site_fract_z
_atom_site_occupancy
Cu1 0.000 0.000 0.000 1
Cu2 0.000 0.000 0.402 1
Cu3 0.500 0.500 0.492 1
Ag1 0.000 0.000 0.203 1
Ag2 0.000 0.000 0.584 1
Ag3 0.000 0.000 0.798 1
Ag4 0.500 0.500 0.096 1
Ag5 0.500 0.500 0.310 1
Ag6 0.500 0.500 0.691 1
Ag7 0.500 0.500 0.904 1
```

The 12 most intense peaks (5 to 70 degrees two-theta), by intensity:
| d_spacing | I/Imax | index |
| --- | --- | --- |
| 2.323 | 100.0 | 1 1 0 |
| 2.034 | 32.3 | 1 0 5 |
| 1.414 | 18.6 | 1 2 5 |
| 1.968 | 15.3 | 0 2 0 |
| 1.441 | 5.2 | 2 0 0 |
| 1.436 | 4.2 | 0 0 10 |
| 3.040 | 3.5 | 0 1 3 |
| 2.469 | 2.0 | 1 0 3 |
| 1.421 | 1.6 | 1 1 8 |
| 2.652 | 1.5 | 0 1 4 |
| 7.182 | 1.5 | 0 0 2 |
| 1.539 | 1.0 | 1 2 3 |

3.
Starting from a structure optimized by DFT (GGA-PBE), the powder X-ray diffraction pattern of Cu3Ag7 was calculated for CuKα.
Lines closer than 0.1° are merged.

Cell and atoms:
```
data_Cu3Ag7
_cell_length_a 2.855
_cell_length_b 3.948
_cell_length_c 14.278
_cell_angle_alpha 90.00
_cell_angle_beta 90.00
_cell_angle_gamma 90.00
_symmetry_space_group_name_H-M 'P m m m'
_symmetry_Int_Tables_number 47
loop_
_symmetry_equiv_pos_as_xyz
'x,y,z'
'-x,-y,-z'
'-x,-y,z'
'x,y,-z'
'x,-y,-z'
'-x,y,z'
'-x,y,-z'
'x,-y,z'
loop_
_atom_site_label
_atom_site_fract_x
_atom_site_fract_y
_atom_site_fract_z
_atom_site_occupancy
Cu1 0.000 0.000 0.000 1
Cu2 0.000 0.000 0.406 1
Ag1 0.000 0.000 0.202 1
Ag2 0.500 0.500 0.096 1
Ag3 0.500 0.500 0.308 1
Ag4 0.500 0.500 0.500 1
```

The 12 most intense peaks (5 to 70 degrees two-theta), by intensity:
| d_spacing | I/Imax | index |
| --- | --- | --- |
| 2.314 | 100.0 | 1 1 0 |
| 2.019 | 32.4 | 1 0 5 |
| 1.412 | 19.5 | 1 2 5 |
| 1.974 | 15.4 | 0 2 0 |
| 1.428 | 9.6 | 2 0 0 |
| 3.948 | 1.8 | 0 1 0 |
| 2.855 | 1.5 | 1 0 0 |
| 3.039 | 1.4 | 0 1 3 |
| 3.455 | 1.2 | 0 1 2 |
| 2.649 | 1.1 | 1 0 2 |
| 2.448 | 0.7 | 1 0 3 |
| 1.798 | 0.7 | 1 1 5 |